[1]
Structure and theoretical XRD peak list of K3Ni2H9 (a cell relaxed with GGA-PBE; Cu Kα (weighted mean of Kα1 and Kα2)).
Neutral-atom scattering factors, no anomalous dispersion.

Atomic structure:
Unit cell a=5.6097 b=5.6097 c=14.0835 alpha=90.00 beta=90.00 gamma=120.00
Space group P6_3/mmc (No. 194)
Inequivalent atoms, fractional coordinates:
K: 0.0000 0.0000 0.2500 [2 per cell]
K: 0.3333 0.6667 0.0761 [4 per cell]
Ni: 0.3333 0.6667 0.6666 [4 per cell]
H: 0.0903 0.5452 0.7500 [6 per cell]
H: 0.2047 0.4094 0.6027 [12 per cell]

Top 12 peaks for 2θ from 10° to 80°, sorted by position:
12.6°, I = 19; 18.3°, I = 30; 19.3°, I = 55; 26.4°, I = 25; 31.4°, I = 25; 31.9°, I = 100; 36.9°, I = 44; 49.0°, I = 10; 49.6°, I = 21; 56.9°, I = 16; 60.2°, I = 19; 66.7°, I = 10


[2]
Structure and theoretical XRD peak list of KNiH5 (a cell relaxed with GGA-PBE; Cu Kα (weighted mean of Kα1 and Kα2)).
Neutral-atom scattering factors, no anomalous dispersion.

Atomic structure:
Unit cell a=6.153 b=6.605 c=6.154 alpha=90.00 beta=90.00 gamma=90.00
Space group Imma (No. 74)
Inequivalent atoms, fractional coordinates:
K: 0.000 0.250 0.000 [4 per cell]
Ni: 0.000 0.000 0.500 [4 per cell]
H: 0.000 0.250 0.500 [4 per cell]
H: 0.189 0.000 0.310 [16 per cell]

Top 12 peaks for 2θ from 10° to 80°, sorted by position:
20.4°, I = 12; 27.0°, I = 4; 29.0°, I = 74; 34.1°, I = 100; 41.5°, I = 30; 54.8°, I = 45; 55.7°, I = 6; 60.2°, I = 9; 64.0°, I = 14; 68.2°, I = 11; 71.0°, I = 10; 71.8°, I = 10